[1]
Diffraction record for Sr4CdCu3. The XRD peak list is theoretical, not measured: it uses a structure optimized by DFT (GGA-PBE) and Cu Ka.
Peak positions follow from Bragg's law for the DFT cell and can differ from measured ones.

Cell and atoms:
```
data_Sr4CdCu3
_cell_length_a 4.487
_cell_length_b 4.490
_cell_length_c 12.099
_cell_angle_alpha 90.00
_cell_angle_beta 90.00
_cell_angle_gamma 90.00
_symmetry_space_group_name_H-M 'P m m 2'
_symmetry_Int_Tables_number 25
loop_
_symmetry_equiv_pos_as_xyz
'x,y,z'
'-x,-y,z'
'-x,y,z'
'x,-y,z'
loop_
_atom_site_label
_atom_site_type_symbol
_atom_site_fract_x
_atom_site_fract_y
_atom_site_fract_z
_atom_site_occupancy
Sr1 Sr 0.000 0.000 0.000 1
Sr2 Sr 0.000 0.500 0.479 1
Sr3 Sr 0.500 0.000 0.699 1
Sr4 Sr 0.500 0.500 0.212 1
Cd1 Cd 0.000 0.500 0.787 1
Cu1 Cu 0.000 0.000 0.294 1
Cu2 Cu 0.500 0.000 0.397 1
Cu3 Cu 0.500 0.500 0.921 1
```

Main lines, most intense first (10 to 90 degrees two-theta):
2theta, I (rel.)
29.1, 100
36.0, 71
29.8, 66
40.2, 61
35.8, 40
50.8, 29
54.9, 22
14.6, 22
49.6, 21
58.1, 20
70.3, 19
66.3, 18

---

[2]
Diffraction record for SrCd10Cu2. The XRD peak list is theoretical, not measured: it uses a structure optimized by DFT (GGA-PBE) and Cu Ka.
Peak positions follow from Bragg's law for the DFT cell and can differ from measured ones.

Cell and atoms:
```
data_SrCd10Cu2
_cell_length_a 5.546
_cell_length_b 14.305
_cell_length_c 14.344
_cell_angle_alpha 90.00
_cell_angle_beta 90.00
_cell_angle_gamma 90.00
_symmetry_space_group_name_H-M 'F m m m'
_symmetry_Int_Tables_number 69
_symmetry_space_group_name_Hall '-F 2 2'
loop_
_atom_site_label
_atom_site_type_symbol
_atom_site_fract_x
_atom_site_fract_y
_atom_site_fract_z
_atom_site_occupancy
Sr1 Sr 0.000 0.000 0.000 1
Cd1 Cd 0.000 0.103 0.386 1
Cd2 Cd 0.000 0.165 0.182 1
Cd3 Cd 0.250 0.250 0.000 1
Cu1 Cu 0.250 0.000 0.250 1
```

Main lines, most intense first (10 to 90 degrees two-theta):
2theta, I (rel.)
35.8, 100
41.2, 76
35.4, 60
37.0, 54
31.0, 44
39.8, 38
40.1, 37
64.6, 24
59.9, 21
32.3, 21
67.6, 18
64.0, 15

---

[3]
Diffraction record for SrCd7Cu5. The XRD peak list is theoretical, not measured: it uses a structure optimized by DFT (GGA-PBE) and Cu Ka.
Peak positions follow from Bragg's law for the DFT cell and can differ from measured ones.

Cell and atoms:
```
data_SrCd7Cu5
_cell_length_a 5.338
_cell_length_b 9.595
_cell_length_c 9.660
_cell_angle_alpha 90.00
_cell_angle_beta 90.00
_cell_angle_gamma 90.00
_symmetry_space_group_name_H-M 'I m m 2'
_symmetry_Int_Tables_number 44
loop_
_symmetry_equiv_pos_as_xyz
'x,y,z'
'-x,-y,z'
'-x,y,z'
'x,-y,z'
'x+1/2,y+1/2,z+1/2'
'-x+1/2,-y+1/2,z+1/2'
'-x+1/2,y+1/2,z+1/2'
'x+1/2,-y+1/2,z+1/2'
loop_
_atom_site_label
_atom_site_type_symbol
_atom_site_fract_x
_atom_site_fract_y
_atom_site_fract_z
_atom_site_occupancy
Sr1 Sr 0.000 0.000 0.000 1
Cd1 Cd 0.000 0.000 0.334 1
Cd2 Cd 0.000 0.000 0.648 1
Cd3 Cd 0.000 0.290 0.492 1
Cd4 Cd 0.000 0.346 0.982 1
Cd5 Cd 0.000 0.500 0.266 1
Cu1 Cu 0.000 0.500 0.717 1
Cu2 Cu 0.248 0.259 0.738 1
```

Main lines, most intense first (10 to 90 degrees two-theta):
2theta, I (rel.)
37.7, 100
43.1, 64
38.6, 46
42.1, 37
32.6, 34
37.2, 29
33.6, 28
37.5, 23
62.8, 21
32.5, 21
67.4, 18
42.4, 17

---

[4]
Diffraction record for SrCdCu. The XRD peak list is theoretical, not measured: it uses a structure optimized by DFT (GGA-PBE) and Cu Ka.
Peak positions follow from Bragg's law for the DFT cell and can differ from measured ones.

Cell and atoms:
```
data_SrCdCu
_cell_length_a 6.137
_cell_length_b 12.605
_cell_length_c 8.170
_cell_angle_alpha 90.00
_cell_angle_beta 90.00
_cell_angle_gamma 90.00
_symmetry_space_group_name_H-M 'C m c e'
_symmetry_Int_Tables_number 64
_symmetry_space_group_name_Hall '-C 2ac 2'
loop_
_atom_site_label
_atom_site_type_symbol
_atom_site_fract_x
_atom_site_fract_y
_atom_site_fract_z
_atom_site_occupancy
Sr1 Sr 0.000 0.176 0.098 1
Cd1 Cd 0.250 0.060 0.750 1
Cu1 Cu 0.000 0.091 0.461 1
```

Main lines, most intense first (10 to 90 degrees two-theta):
2theta, I (rel.)
34.3, 100
36.6, 97
35.9, 94
30.4, 87
40.2, 49
14.1, 42
53.6, 39
32.5, 37
28.0, 35
26.0, 33
27.2, 33
39.4, 31

---

[5]
Diffraction record for SrCdCu10. The XRD peak list is theoretical, not measured: it uses a structure optimized by DFT (GGA-PBE) and Cu Ka.
Peak positions follow from Bragg's law for the DFT cell and can differ from measured ones.

Cell and atoms:
```
data_SrCdCu10
_cell_length_a 4.091
_cell_length_b 5.043
_cell_length_c 8.785
_cell_angle_alpha 90.00
_cell_angle_beta 90.00
_cell_angle_gamma 90.00
_symmetry_space_group_name_H-M 'P m m m'
_symmetry_Int_Tables_number 47
loop_
_symmetry_equiv_pos_as_xyz
'x,y,z'
'-x,-y,-z'
'-x,-y,z'
'x,y,-z'
'x,-y,-z'
'-x,y,z'
'-x,y,-z'
'x,-y,z'
loop_
_atom_site_label
_atom_site_type_symbol
_atom_site_fract_x
_atom_site_fract_y
_atom_site_fract_z
_atom_site_occupancy
Sr1 Sr 0.000 0.000 0.000 1
Cd1 Cd 0.000 0.500 0.500 1
Cu1 Cu 0.000 0.000 0.347 1
Cu2 Cu 0.000 0.500 0.188 1
Cu3 Cu 0.500 0.000 0.500 1
Cu4 Cu 0.500 0.251 0.256 1
Cu5 Cu 0.500 0.500 0.000 1
```

Main lines, most intense first (10 to 90 degrees two-theta):
2theta, I (rel.)
42.0, 100
42.1, 52
44.3, 47
29.9, 44
41.3, 32
47.1, 25
35.4, 24
79.9, 22
68.3, 21
41.1, 19
62.1, 18
75.0, 15

---

[6]
Diffraction record for Tb2Zn12CdCu3. The XRD peak list is theoretical, not measured: it uses a structure optimized by DFT (GGA-PBE) and Cu Ka.
Peak positions follow from Bragg's law for the DFT cell and can differ from measured ones.

Cell and atoms:
```
data_Tb2Zn12CdCu3
_cell_length_a 8.1727
_cell_length_b 8.1727
_cell_length_c 20.3286
_cell_angle_alpha 90.00
_cell_angle_beta 90.00
_cell_angle_gamma 120.00
_symmetry_space_group_name_H-M 'R -3 m'
_symmetry_Int_Tables_number 166
_symmetry_space_group_name_Hall '-R 3 2"'
loop_
_atom_site_label
_atom_site_type_symbol
_atom_site_fract_x
_atom_site_fract_y
_atom_site_fract_z
_atom_site_occupancy
Tb1 Tb 0.0000 0.0000 0.0943 1
Zn1 Zn 0.0139 0.5070 0.3488 1
Zn2 Zn 0.0948 0.5474 0.8835 1
Cd1 Cd 0.0000 0.0000 0.5000 1
Cu1 Cu 0.0000 0.5000 0.0000 1
```

Main lines, most intense first (10 to 90 degrees two-theta):
2theta, I (rel.)
25.5, 100
44.3, 76
34.7, 54
30.8, 43
46.5, 40
40.4, 35
43.9, 31
51.7, 30
34.4, 29
33.6, 29
33.3, 25
39.9, 25

---

[7]
Diffraction record for CdCu4Tc. The XRD peak list is theoretical, not measured: it uses a structure optimized by DFT (GGA-PBE) and Cu Ka.
Peak positions follow from Bragg's law for the DFT cell and can differ from measured ones.

Cell and atoms:
```
data_CdCu4Tc
_cell_length_a 6.932
_cell_length_b 6.932
_cell_length_c 6.932
_cell_angle_alpha 90.00
_cell_angle_beta 90.00
_cell_angle_gamma 90.00
_symmetry_space_group_name_H-M 'F -4 3 m'
_symmetry_Int_Tables_number 216
_symmetry_space_group_name_Hall 'F -4 2 3'
loop_
_atom_site_label
_atom_site_type_symbol
_atom_site_fract_x
_atom_site_fract_y
_atom_site_fract_z
_atom_site_occupancy
Cd1 Cd 0.000 0.000 0.000 1
Cu1 Cu 0.125 0.125 0.625 1
Tc1 Tc 0.250 0.250 0.250 1
```

Main lines, most intense first (10 to 90 degrees two-theta):
2theta, I (rel.)
43.3, 100
36.7, 44
70.6, 29
45.3, 26
78.0, 23
66.0, 15
89.4, 7
22.2, 1
52.8, 1

---

[8]
Diffraction record for Cd2CuTe. The XRD peak list is theoretical, not measured: it uses a structure optimized by DFT (GGA-PBE) and Cu Ka.
Peak positions follow from Bragg's law for the DFT cell and can differ from measured ones.

Cell and atoms:
```
data_Cd2CuTe
_cell_length_a 3.798
_cell_length_b 3.798
_cell_length_c 6.903
_cell_angle_alpha 90.00
_cell_angle_beta 90.00
_cell_angle_gamma 90.00
_symmetry_space_group_name_H-M 'P 4 m m'
_symmetry_Int_Tables_number 99
loop_
_symmetry_equiv_pos_as_xyz
'x,y,z'
'-y,x,z'
'-x,-y,z'
'y,-x,z'
'-x,y,z'
'y,x,z'
'x,-y,z'
'-y,-x,z'
loop_
_atom_site_label
_atom_site_type_symbol
_atom_site_fract_x
_atom_site_fract_y
_atom_site_fract_z
_atom_site_occupancy
Cd1 Cd 0.000 0.000 0.000 1
Cd2 Cd 0.500 0.500 0.192 1
Cu1 Cu 0.000 0.000 0.603 1
Te1 Te 0.500 0.500 0.616 1
```

Main lines, most intense first (10 to 90 degrees two-theta):
2theta, I (rel.)
33.4, 100
35.1, 58
42.7, 42
25.8, 41
47.9, 35
26.8, 33
60.8, 22
55.2, 19
52.4, 18
46.1, 17
79.9, 15
77.8, 15

---

[9]
Diffraction record for CdCu2Te. The XRD peak list is theoretical, not measured: it uses a structure optimized by DFT (GGA-PBE) and Cu Ka.
Peak positions follow from Bragg's law for the DFT cell and can differ from measured ones.

Cell and atoms:
```
data_CdCu2Te
_cell_length_a 4.030
_cell_length_b 4.030
_cell_length_c 9.196
_cell_angle_alpha 90.00
_cell_angle_beta 90.00
_cell_angle_gamma 90.00
_symmetry_space_group_name_H-M 'I -4 m 2'
_symmetry_Int_Tables_number 119
_symmetry_space_group_name_Hall 'I -4 -2'
loop_
_atom_site_label
_atom_site_type_symbol
_atom_site_fract_x
_atom_site_fract_y
_atom_site_fract_z
_atom_site_occupancy
Cd1 Cd 0.000 0.000 0.000 1
Cu1 Cu 0.000 0.000 0.500 1
Cu2 Cu 0.000 0.500 0.750 1
Te1 Te 0.000 0.500 0.250 1
```

Main lines, most intense first (10 to 90 degrees two-theta):
2theta, I (rel.)
37.1, 100
45.0, 29
61.2, 22
39.2, 21
77.8, 21
69.7, 15
24.1, 11
79.1, 10
65.5, 9
36.8, 4
51.7, 3
84.2, 2

---

[10]
Diffraction record for Th2Cd3Cu2. The XRD peak list is theoretical, not measured: it uses a structure optimized by DFT (GGA-PBE) and Cu Ka.
Peak positions follow from Bragg's law for the DFT cell and can differ from measured ones.

Cell and atoms:
```
data_Th2Cd3Cu2
_cell_length_a 10.234
_cell_length_b 4.401
_cell_length_c 7.091
_cell_angle_alpha 90.00
_cell_angle_beta 94.99
_cell_angle_gamma 90.00
_symmetry_space_group_name_H-M 'C 1 2/m 1'
_symmetry_Int_Tables_number 12
loop_
_symmetry_equiv_pos_as_xyz
'x,y,z'
'-x,-y,-z'
'-x,y,-z'
'x,-y,z'
'x+1/2,y+1/2,z'
'-x+1/2,-y+1/2,-z'
'-x+1/2,y+1/2,-z'
'x+1/2,-y+1/2,z'
loop_
_atom_site_label
_atom_site_type_symbol
_atom_site_fract_x
_atom_site_fract_y
_atom_site_fract_z
_atom_site_occupancy
Th1 Th 0.123 0.000 0.357 1
Cd1 Cd 0.000 0.500 0.000 1
Cd2 Cd 0.186 0.000 0.861 1
Cu1 Cu 0.086 0.500 0.642 1
```

Main lines, most intense first (10 to 90 degrees two-theta):
2theta, I (rel.)
33.1, 100
33.3, 67
41.0, 42
32.1, 34
25.8, 33
36.6, 32
34.3, 26
68.0, 26
40.8, 21
34.9, 19
36.4, 19
53.0, 17

---

[11]
Diffraction record for ThZn2Cd2Cu. The XRD peak list is theoretical, not measured: it uses a structure optimized by DFT (GGA-PBE) and Cu Ka.
Peak positions follow from Bragg's law for the DFT cell and can differ from measured ones.

Cell and atoms:
```
data_ThZn2Cd2Cu
_cell_length_a 5.037
_cell_length_b 5.037
_cell_length_c 10.966
_cell_angle_alpha 90.00
_cell_angle_beta 90.00
_cell_angle_gamma 90.00
_symmetry_space_group_name_H-M 'I 4/m m m'
_symmetry_Int_Tables_number 139
_symmetry_space_group_name_Hall '-I 4 2'
loop_
_atom_site_label
_atom_site_type_symbol
_atom_site_fract_x
_atom_site_fract_y
_atom_site_fract_z
_atom_site_occupancy
Th1 Th 0.000 0.000 0.000 1
Zn1 Zn 0.000 0.000 0.292 1
Cd1 Cd 0.000 0.500 0.250 1
Cu1 Cu 0.000 0.000 0.500 1
```

Main lines, most intense first (10 to 90 degrees two-theta):
2theta, I (rel.)
29.9, 100
35.6, 88
49.1, 56
32.7, 44
30.2, 40
51.3, 31
56.6, 28
62.2, 27
60.5, 27
47.4, 24
19.4, 23
25.0, 21

---

[12]
Diffraction record for TlCdCu2. The XRD peak list is theoretical, not measured: it uses a structure optimized by DFT (GGA-PBE) and Cu Ka.
Peak positions follow from Bragg's law for the DFT cell and can differ from measured ones.

Cell and atoms:
```
data_TlCdCu2
_cell_length_a 10.805
_cell_length_b 3.029
_cell_length_c 4.676
_cell_angle_alpha 90.00
_cell_angle_beta 107.61
_cell_angle_gamma 90.00
_symmetry_space_group_name_H-M 'C 1 m 1'
_symmetry_Int_Tables_number 8
loop_
_symmetry_equiv_pos_as_xyz
'x,y,z'
'x,-y,z'
'x+1/2,y+1/2,z'
'x+1/2,-y+1/2,z'
loop_
_atom_site_label
_atom_site_type_symbol
_atom_site_fract_x
_atom_site_fract_y
_atom_site_fract_z
_atom_site_occupancy
Tl1 Tl 0.000 0.000 0.000 1
Cd1 Cd 0.291 0.500 0.356 1
Cu1 Cu 0.058 0.500 0.539 1
Cu2 Cu 0.243 0.000 0.820 1
```

Main lines, most intense first (10 to 90 degrees two-theta):
2theta, I (rel.)
38.4, 100
40.8, 83
34.8, 51
38.9, 45
30.8, 33
30.2, 32
34.6, 29
53.8, 25
72.4, 23
22.1, 17
68.2, 17
49.2, 15

---

[13]
Diffraction record for TmCd11Cu. The XRD peak list is theoretical, not measured: it uses a structure optimized by DFT (GGA-PBE) and Cu Ka.
Peak positions follow from Bragg's law for the DFT cell and can differ from measured ones.

Cell and atoms:
```
data_TmCd11Cu
_cell_length_a 5.811
_cell_length_b 14.050
_cell_length_c 7.529
_cell_angle_alpha 90.00
_cell_angle_beta 112.34
_cell_angle_gamma 90.00
_symmetry_space_group_name_H-M 'C 1 2/m 1'
_symmetry_Int_Tables_number 12
loop_
_symmetry_equiv_pos_as_xyz
'x,y,z'
'-x,-y,-z'
'-x,y,-z'
'x,-y,z'
'x+1/2,y+1/2,z'
'-x+1/2,-y+1/2,-z'
'-x+1/2,y+1/2,-z'
'x+1/2,-y+1/2,z'
loop_
_atom_site_label
_atom_site_type_symbol
_atom_site_fract_x
_atom_site_fract_y
_atom_site_fract_z
_atom_site_occupancy
Tm1 Tm 0.000 0.000 0.000 1
Cd1 Cd 0.000 0.000 0.500 1
Cd2 Cd 0.092 0.397 0.216 1
Cd3 Cd 0.186 0.170 0.355 1
Cd4 Cd 0.250 0.250 0.000 1
Cu1 Cu 0.000 0.500 0.500 1
```

Main lines, most intense first (10 to 90 degrees two-theta):
2theta, I (rel.)
36.3, 100
36.1, 54
40.3, 44
35.8, 43
40.6, 42
35.9, 34
31.3, 32
36.4, 25
31.1, 25
64.9, 22
30.8, 22
58.2, 20

---

[14]
Diffraction record for TmCd2Cu9. The XRD peak list is theoretical, not measured: it uses a structure optimized by DFT (GGA-PBE) and Cu Ka.
Peak positions follow from Bragg's law for the DFT cell and can differ from measured ones.

Cell and atoms:
```
data_TmCd2Cu9
_cell_length_a 5.0472
_cell_length_b 5.0472
_cell_length_c 24.1008
_cell_angle_alpha 90.00
_cell_angle_beta 90.00
_cell_angle_gamma 120.00
_symmetry_space_group_name_H-M 'R -3 m'
_symmetry_Int_Tables_number 166
_symmetry_space_group_name_Hall '-R 3 2"'
loop_
_atom_site_label
_atom_site_type_symbol
_atom_site_fract_x
_atom_site_fract_y
_atom_site_fract_z
_atom_site_occupancy
Tm1 Tm 0.0000 0.0000 0.0000 1
Cd1 Cd 0.0000 0.0000 0.1432 1
Cu1 Cu 0.0000 0.0000 0.3334 1
Cu2 Cu 0.0000 0.0000 0.5000 1
Cu3 Cu 0.0021 0.5011 0.9165 1
```

Main lines, most intense first (10 to 90 degrees two-theta):
2theta, I (rel.)
42.3, 100
35.6, 41
41.5, 34
33.1, 32
36.2, 26
68.5, 22
75.3, 20
45.1, 18
45.6, 13
42.0, 12
62.3, 10
69.5, 9